# 1
For AlSn3Pd12, DFT lattice parameters and positions (PBE) gives the calculated powder diffractogram in this record (Cu Kα, 1.54184 Å).
Kinematic intensities with the Lorentz-polarization factor, no thermal factor.

Principal peaks in the range 5 to 70 degrees two-theta, by intensity:
two_theta  I_rel  index
38.91  100.0  1 1 4
45.18  33.1  2 0 0
65.95  20.0  2 0 8
45.36  15.4  0 0 8
65.81  10.6  2 2 0
5.53  2.4  0 0 1
35.85  2.0  1 1 3
27.84  1.2  0 0 5
61.51  1.2  2 0 7
22.84  1.1  1 0 1

Structural model:
```
data_AlSn3Pd12
_chemical_formula_sum 'Al1 Sn3 Pd12'
_symmetry_space_group_name_H-M 'P 4/m m m'
_symmetry_Int_Tables_number 123
_symmetry_space_group_name_Hall '-P 4 2'
_cell_length_a 4.0136
_cell_length_b 4.0136
_cell_length_c 15.9948
_cell_angle_alpha 90.00
_cell_angle_beta 90.00
_cell_angle_gamma 90.00
loop_
_atom_site_label
_atom_site_fract_x
_atom_site_fract_y
_atom_site_fract_z
_atom_site_occupancy
Al1 0.0000 0.0000 0.0000 1
Sn1 0.0000 0.0000 0.2442 1
Sn2 0.0000 0.0000 0.5000 1
Pd1 0.0000 0.5000 0.1176 1
Pd2 0.0000 0.5000 0.3727 1
Pd3 0.5000 0.5000 0.0000 1
Pd4 0.5000 0.5000 0.2460 1
Pd5 0.5000 0.5000 0.5000 1
```

---

# 2
For Al2SnPd8, DFT lattice parameters and positions (PBE) gives the calculated powder diffractogram in this record (Cu Kα, 1.54184 Å).
Kinematic intensities with the Lorentz-polarization factor, no thermal factor.

Principal peaks in the range 5 to 70 degrees two-theta, by intensity:
two_theta  I_rel  index
39.19  100.0  5 1 -1
39.56  88.2  1 1 2
44.42  40.0  0 2 0
44.89  31.9  4 0 -3
36.04  24.0  1 1 -2
65.00  20.9  4 2 -3
47.99  18.7  6 0 1
34.71  14.7  4 0 1
67.45  13.3  6 2 1
28.44  11.8  1 1 1

Structural model:
```
data_Al2SnPd8
_chemical_formula_sum 'Al4 Sn2 Pd16'
_symmetry_space_group_name_H-M 'C 1 2/m 1'
_symmetry_Int_Tables_number 12
_cell_length_a 14.0371
_cell_length_b 4.0791
_cell_length_c 6.3234
_cell_angle_alpha 90.00
_cell_angle_beta 108.43
_cell_angle_gamma 90.00
loop_
_symmetry_equiv_pos_as_xyz
'x,y,z'
'-x,-y,-z'
'-x,y,-z'
'x,-y,z'
'x+1/2,y+1/2,z'
'-x+1/2,-y+1/2,-z'
'-x+1/2,y+1/2,-z'
'x+1/2,-y+1/2,z'
loop_
_atom_site_label
_atom_site_fract_x
_atom_site_fract_y
_atom_site_fract_z
_atom_site_occupancy
Al1 0.2101 0.0000 0.1659 1
Sn1 0.0000 0.5000 0.5000 1
Pd1 0.0380 0.0000 0.2363 1
Pd2 0.1027 0.5000 0.9747 1
Pd3 0.1657 0.0000 0.7431 1
Pd4 0.1778 0.5000 0.4362 1
```

---

# 3
For Y2AlSnPd6, DFT lattice parameters and positions (PBE) gives the calculated powder diffractogram in this record (Cu Kα, 1.54184 Å).
Kinematic intensities with the Lorentz-polarization factor, no thermal factor.

Principal peaks in the range 5 to 70 degrees two-theta, by intensity:
two_theta  I_rel  index
38.31  100.0  2 2 0
35.63  73.4  2 0 -3
36.03  70.7  2 2 -1
39.98  69.6  2 2 -2
40.90  60.9  1 1 2
40.47  56.1  4 0 0
42.21  55.2  5 1 -2
19.92  40.8  2 0 0
28.45  39.9  3 1 -1
36.37  37.5  4 0 -3

Structural model:
```
data_Y2AlSnPd6
_chemical_formula_sum 'Y4 Al2 Sn2 Pd12'
_symmetry_space_group_name_H-M 'C 1 2/m 1'
_symmetry_Int_Tables_number 12
_cell_length_a 11.6322
_cell_length_b 5.5292
_cell_length_c 7.8012
_cell_angle_alpha 90.00
_cell_angle_beta 129.97
_cell_angle_gamma 90.00
loop_
_symmetry_equiv_pos_as_xyz
'x,y,z'
'-x,-y,-z'
'-x,y,-z'
'x,-y,z'
'x+1/2,y+1/2,z'
'-x+1/2,-y+1/2,-z'
'-x+1/2,y+1/2,-z'
'x+1/2,-y+1/2,z'
loop_
_atom_site_label
_atom_site_fract_x
_atom_site_fract_y
_atom_site_fract_z
_atom_site_occupancy
Y1 0.0013 0.0000 0.2508 1
Al1 0.0000 0.5000 0.5000 1
Sn1 0.0000 0.5000 0.0000 1
Pd1 0.1823 0.5000 0.4380 1
Pd2 0.2386 0.2529 0.8006 1
```

---

# 4
For SrAl6Pd2, DFT lattice parameters and positions (PBE) gives the calculated powder diffractogram in this record (Cu Kα, 1.54184 Å).
Kinematic intensities with the Lorentz-polarization factor, no thermal factor.

Principal peaks in the range 5 to 70 degrees two-theta, by intensity:
two_theta  I_rel  index
23.21  100.0  1 1 -1
31.17  77.8  3 1 0
36.34  67.6  1 3 -1
41.63  51.7  2 2 1
19.40  48.1  0 2 0
41.82  45.4  4 2 -1
42.86  31.1  2 0 -2
42.09  20.6  3 3 0
53.80  16.5  1 1 2
54.08  15.9  5 1 -2

Structural model:
```
data_SrAl6Pd2
_chemical_formula_sum 'Sr2 Al12 Pd4'
_symmetry_space_group_name_H-M 'C 1 2/m 1'
_symmetry_Int_Tables_number 12
_cell_length_a 9.9775
_cell_length_b 9.1522
_cell_length_c 4.2201
_cell_angle_alpha 90.00
_cell_angle_beta 114.71
_cell_angle_gamma 90.00
loop_
_symmetry_equiv_pos_as_xyz
'x,y,z'
'-x,-y,-z'
'-x,y,-z'
'x,-y,z'
'x+1/2,y+1/2,z'
'-x+1/2,-y+1/2,-z'
'-x+1/2,y+1/2,-z'
'x+1/2,-y+1/2,z'
loop_
_atom_site_label
_atom_site_fract_x
_atom_site_fract_y
_atom_site_fract_z
_atom_site_occupancy
Sr1 0.0000 0.0000 0.0000 1
Al1 0.0000 0.2784 0.5000 1
Al2 0.2112 0.3413 0.2110 1
Pd1 0.1638 0.5000 0.6638 1
```

---

# 5
For Sr3Al6Pd5, DFT lattice parameters and positions (PBE) gives the calculated powder diffractogram in this record (Cu Kα, 1.54184 Å).
Kinematic intensities with the Lorentz-polarization factor, no thermal factor.

Principal peaks in the range 5 to 70 degrees two-theta, by intensity:
two_theta  I_rel  index
33.96  100.0  1 3 2
32.87  79.8  1 0 3
29.34  54.1  1 3 0
42.26  53.5  2 0 0
32.70  44.7  0 3 3
26.57  39.9  0 3 2
25.19  33.1  0 0 3
30.56  27.6  1 3 1
47.74  24.0  0 3 5
65.33  23.5  1 6 5

Structural model:
```
data_Sr3Al6Pd5
_chemical_formula_sum 'Sr6 Al12 Pd10'
_symmetry_space_group_name_H-M 'P m m n'
_symmetry_Int_Tables_number 59
_cell_length_a 4.2776
_cell_length_b 12.9946
_cell_length_c 10.6065
_cell_angle_alpha 90.00
_cell_angle_beta 90.00
_cell_angle_gamma 90.00
loop_
_symmetry_equiv_pos_as_xyz
'x,y,z'
'-x,-y,-z'
'-x+1/2,-y+1/2,z'
'x+1/2,y+1/2,-z'
'x+1/2,-y,-z'
'-x+1/2,y,z'
'-x,y+1/2,-z'
'x,-y+1/2,z'
loop_
_atom_site_label
_atom_site_fract_x
_atom_site_fract_y
_atom_site_fract_z
_atom_site_occupancy
Sr1 0.2500 0.0904 0.2491 1
Sr2 0.2500 0.7500 0.2610 1
Al1 0.2500 0.0544 0.5814 1
Al2 0.2500 0.2500 0.4885 1
Al3 0.2500 0.2500 0.9827 1
Al4 0.2500 0.5787 0.0078 1
Pd1 0.2500 0.0779 0.8531 1
Pd2 0.2500 0.6387 0.5256 1
Pd3 0.2500 0.7500 0.8907 1
```

---

# 6
For SrAl6Pd4, DFT lattice parameters and positions (PBE) gives the calculated powder diffractogram in this record (Cu Kα, 1.54184 Å).
Kinematic intensities with the Lorentz-polarization factor, no thermal factor.

Principal peaks in the range 5 to 70 degrees two-theta, by intensity:
two_theta  I_rel  index
32.62  100.0  1 1 1
25.70  98.6  1 0 1
35.62  97.7  2 0 1
48.25  90.0  3 0 1
43.55  84.5  2 1 1
28.06  81.6  2 0 0
37.42  80.8  2 1 0
43.78  52.6  0 0 2
58.92  42.1  2 1 2
49.67  41.6  2 2 0

Structural model:
```
data_SrAl6Pd4
_chemical_formula_sum 'Sr1 Al6 Pd4'
_symmetry_space_group_name_H-M 'P -6 m 2'
_symmetry_Int_Tables_number 187
_symmetry_space_group_name_Hall 'P -6 2'
_cell_length_a 7.3426
_cell_length_b 7.3426
_cell_length_c 4.1353
_cell_angle_alpha 90.00
_cell_angle_beta 90.00
_cell_angle_gamma 120.00
loop_
_atom_site_label
_atom_site_fract_x
_atom_site_fract_y
_atom_site_fract_z
_atom_site_occupancy
Sr1 0.0000 0.0000 0.0000 1
Al1 0.2033 0.4067 0.5000 1
Al2 0.5347 0.0695 0.0000 1
Pd1 0.3333 0.6667 0.0000 1
Pd2 0.4067 0.2033 0.5000 1
```

---

# 7
For Sr2Al5Pd3, DFT lattice parameters and positions (PBE) gives the calculated powder diffractogram in this record (Cu Kα, 1.54184 Å).
Kinematic intensities with the Lorentz-polarization factor, no thermal factor.

Principal peaks in the range 5 to 70 degrees two-theta, by intensity:
two_theta  I_rel  index
32.40  100.0  3 2 1
41.27  63.9  0 4 2
22.48  40.5  1 3 0
34.25  32.5  2 0 2
32.66  30.6  2 4 0
31.74  29.3  1 1 2
54.51  22.2  3 2 3
52.32  19.8  3 6 1
27.94  15.5  0 4 0
29.76  15.2  0 0 2

Structural model:
```
data_Sr2Al5Pd3
_chemical_formula_sum 'Sr8 Al20 Pd12'
_symmetry_space_group_name_H-M 'I b a m'
_symmetry_Int_Tables_number 72
_symmetry_space_group_name_Hall '-I 2 2c'
_cell_length_a 10.6909
_cell_length_b 12.7742
_cell_length_c 6.0050
_cell_angle_alpha 90.00
_cell_angle_beta 90.00
_cell_angle_gamma 90.00
loop_
_atom_site_label
_atom_site_fract_x
_atom_site_fract_y
_atom_site_fract_z
_atom_site_occupancy
Sr1 0.2291 0.1391 0.0000 1
Al1 0.0000 0.0000 0.2500 1
Al2 0.0000 0.2815 0.2500 1
Al3 0.1564 0.4035 0.0000 1
Pd1 0.0000 0.5000 0.2500 1
Pd2 0.1029 0.1368 0.5000 1
```

---

# 8
For SrAlZn2Pd, DFT lattice parameters and positions (PBE) gives the calculated powder diffractogram in this record (Cu Kα, 1.54184 Å).
Kinematic intensities with the Lorentz-polarization factor, no thermal factor.

Principal peaks in the range 5 to 70 degrees two-theta, by intensity:
two_theta  I_rel  index
33.52  100.0  1 1 2
31.43  59.5  0 1 3
32.09  56.5  1 0 3
29.34  48.9  1 1 0
40.93  46.0  0 2 0
43.00  39.8  2 0 0
43.99  38.4  1 1 4
45.50  33.6  0 1 5
60.86  27.5  2 2 0
52.93  26.6  1 2 3

Structural model:
```
data_SrAlZn2Pd
_chemical_formula_sum 'Sr2 Al2 Zn4 Pd2'
_symmetry_space_group_name_H-M 'I m m 2'
_symmetry_Int_Tables_number 44
_cell_length_a 4.2072
_cell_length_b 4.4102
_cell_length_c 11.1758
_cell_angle_alpha 90.00
_cell_angle_beta 90.00
_cell_angle_gamma 90.00
loop_
_symmetry_equiv_pos_as_xyz
'x,y,z'
'-x,-y,z'
'-x,y,z'
'x,-y,z'
'x+1/2,y+1/2,z+1/2'
'-x+1/2,-y+1/2,z+1/2'
'-x+1/2,y+1/2,z+1/2'
'x+1/2,-y+1/2,z+1/2'
loop_
_atom_site_label
_atom_site_fract_x
_atom_site_fract_y
_atom_site_fract_z
_atom_site_occupancy
Sr1 0.0000 0.0000 0.0000 1
Al1 0.0000 0.5000 0.7515 1
Zn1 0.0000 0.0000 0.6128 1
Zn2 0.0000 0.5000 0.2536 1
Pd1 0.0000 0.0000 0.3778 1
```

---

# 9
For Tb3Al2Pd3, DFT lattice parameters and positions (PBE) gives the calculated powder diffractogram in this record (Cu Kα, 1.54184 Å).
Kinematic intensities with the Lorentz-polarization factor, no thermal factor.

Principal peaks in the range 5 to 70 degrees two-theta, by intensity:
two_theta  I_rel  index
36.97  100.0  2 1 1
21.56  38.6  1 1 0
31.95  37.3  0 0 2
38.87  33.5  1 1 2
37.80  26.2  3 0 0
60.27  24.0  2 1 3
48.78  20.1  3 1 1
58.73  14.1  3 2 1
50.31  13.4  3 0 2
33.20  12.0  2 1 0

Structural model:
```
data_Tb3Al2Pd3
_chemical_formula_sum 'Tb6 Al4 Pd6'
_symmetry_space_group_name_H-M 'P 63/m c m'
_symmetry_Int_Tables_number 193
_symmetry_space_group_name_Hall '-P 6c 2'
_cell_length_a 8.2444
_cell_length_b 8.2444
_cell_length_c 5.6025
_cell_angle_alpha 90.00
_cell_angle_beta 90.00
_cell_angle_gamma 120.00
loop_
_atom_site_label
_atom_site_fract_x
_atom_site_fract_y
_atom_site_fract_z
_atom_site_occupancy
Tb1 0.0000 0.2634 0.2500 1
Al1 0.3333 0.6667 0.0000 1
Pd1 0.0000 0.4037 0.7500 1
```

---

# 10
For Tb4Al24Pd9, DFT lattice parameters and positions (PBE) gives the calculated powder diffractogram in this record (Cu Kα, 1.54184 Å).
Kinematic intensities with the Lorentz-polarization factor, no thermal factor.

Principal peaks in the range 5 to 70 degrees two-theta, by intensity:
two_theta  I_rel  index
41.41  100.0  3 0 0
28.56  69.0  1 2 3
29.94  53.6  2 1 3
38.35  40.2  2 1 -4
23.67  39.0  2 1 0
34.73  38.2  1 2 -3
34.54  20.9  0 0 5
44.27  15.8  1 2 6
55.03  15.4  0 3 6
13.70  14.3  1 1 0

Structural model:
```
data_Tb4Al24Pd9
_chemical_formula_sum 'Tb4 Al24 Pd9'
_symmetry_space_group_name_H-M 'P -1'
_symmetry_Int_Tables_number 2
_cell_length_a 7.5490
_cell_length_b 7.5526
_cell_length_c 13.2202
_cell_angle_alpha 79.11
_cell_angle_beta 84.54
_cell_angle_gamma 60.09
loop_
_symmetry_equiv_pos_as_xyz
'x,y,z'
'-x,-y,-z'
loop_
_atom_site_label
_atom_site_fract_x
_atom_site_fract_y
_atom_site_fract_z
_atom_site_occupancy
Tb1 0.0016 0.2313 0.3092 1
Tb2 0.3321 0.5616 0.3093 1
Al1 0.0000 0.1480 0.5555 1
Al2 0.9996 0.3136 0.0592 1
Al3 0.0070 0.0563 0.8302 1
Al4 0.1302 0.3084 0.6850 1
Al5 0.3333 0.0206 0.9392 1
Al6 0.3331 0.1822 0.4543 1
Al7 0.3334 0.6463 0.0593 1
Al8 0.3344 0.3825 0.8305 1
Al9 0.3336 0.4816 0.5555 1
Al10 0.3360 0.8978 0.6838 1
Al11 0.3406 0.2691 0.1686 1
Al12 0.4583 0.8970 0.3162 1
Pd1 0.0000 0.5000 0.5000 1
Pd2 0.0076 0.6128 0.1377 1
Pd3 0.3255 0.9536 0.1373 1
Pd4 0.3285 0.8286 0.5000 1
Pd5 0.3330 0.7051 0.8623 1
```

---

# 11
For Tb4AlPd3, DFT lattice parameters and positions (PBE) gives the calculated powder diffractogram in this record (Cu Kα, 1.54184 Å).
Kinematic intensities with the Lorentz-polarization factor, no thermal factor.

Principal peaks in the range 5 to 70 degrees two-theta, by intensity:
two_theta  I_rel  index
31.88  100.0  1 1 1
39.72  51.2  1 1 3
34.13  32.1  1 0 3
40.04  29.6  0 2 0
32.87  27.6  0 0 4
38.62  21.4  0 1 4
25.66  20.1  0 1 2
53.60  17.8  1 2 3
47.84  17.7  2 0 0
64.10  14.6  2 2 0

Structural model:
```
data_Tb4AlPd3
_chemical_formula_sum 'Tb4 Al1 Pd3'
_symmetry_space_group_name_H-M 'P m m 2'
_symmetry_Int_Tables_number 25
_cell_length_a 3.8024
_cell_length_b 4.5042
_cell_length_c 10.8988
_cell_angle_alpha 90.00
_cell_angle_beta 90.00
_cell_angle_gamma 90.00
loop_
_symmetry_equiv_pos_as_xyz
'x,y,z'
'-x,-y,z'
'-x,y,z'
'x,-y,z'
loop_
_atom_site_label
_atom_site_fract_x
_atom_site_fract_y
_atom_site_fract_z
_atom_site_occupancy
Tb1 0.0000 0.0000 0.0000 1
Tb2 0.0000 0.5000 0.2688 1
Tb3 0.5000 0.0000 0.4833 1
Tb4 0.5000 0.5000 0.7791 1
Al1 0.0000 0.0000 0.7050 1
Pd1 0.0000 0.5000 0.5575 1
Pd2 0.5000 0.0000 0.2182 1
Pd3 0.5000 0.5000 0.0513 1
```

---

# 12
For TbAl4Pd2, DFT lattice parameters and positions (PBE) gives the calculated powder diffractogram in this record (Cu Kα, 1.54184 Å).
Kinematic intensities with the Lorentz-polarization factor, no thermal factor.

Principal peaks in the range 5 to 70 degrees two-theta, by intensity:
two_theta  I_rel  index
35.77  100.0  2 1 2
29.20  69.9  4 1 0
35.96  63.5  5 1 1
41.82  41.0  0 2 0
38.96  37.6  7 0 1
28.95  31.3  2 0 2
23.02  24.9  2 1 0
58.48  22.8  7 2 1
24.63  20.7  0 1 1
14.36  20.2  1 0 1

Structural model:
```
data_TbAl4Pd2
_chemical_formula_sum 'Tb4 Al16 Pd8'
_symmetry_space_group_name_H-M 'P n m a'
_symmetry_Int_Tables_number 62
_cell_length_a 17.2734
_cell_length_b 4.3205
_cell_length_c 6.6039
_cell_angle_alpha 90.00
_cell_angle_beta 90.00
_cell_angle_gamma 90.00
loop_
_symmetry_equiv_pos_as_xyz
'x,y,z'
'-x,-y,-z'
'-x+1/2,-y,z+1/2'
'x+1/2,y,-z+1/2'
'x+1/2,-y+1/2,-z+1/2'
'-x+1/2,y+1/2,z+1/2'
'-x,y+1/2,-z'
'x,-y+1/2,z'
loop_
_atom_site_label
_atom_site_fract_x
_atom_site_fract_y
_atom_site_fract_z
_atom_site_occupancy
Tb1 0.1394 0.2500 0.0113 1
Al1 0.0356 0.7500 0.8347 1
Al2 0.0701 0.2500 0.4927 1
Al3 0.1869 0.7500 0.3191 1
Al4 0.1930 0.7500 0.7242 1
Pd1 0.0383 0.7500 0.2422 1
Pd2 0.2154 0.2500 0.5241 1
```